Theoretical powder XRD pattern of MgZrMo2O8 for CuKα, from a cell relaxed with GGA+U.
Lines closer than 0.1° are merged.

Main lines, in order of rising 2θ (5° ≤ 2θ ≤ 70°):
| d (Å) | I_rel |
| --- | --- |
| 3.925 | 56.1 |
| 3.833 | 100.0 |
| 3.010 | 64.2 |
| 2.863 | 29.3 |
| 2.580 | 16.9 |
| 2.535 | 25.8 |
| 1.961 | 16.3 |
| 1.917 | 22.3 |
| 1.881 | 16.4 |
| 1.790 | 11.6 |
| 1.618 | 16.2 |
| 1.505 | 11.7 |

Structural model:
Lattice parameters (Å, degrees): 6.0305 6.0305 5.8794 90.38 90.38 56.69
Element x y z (fractional)
Mg1 0.0000 0.0000 0.0000
Zr1 0.0000 0.0000 0.5000
Mo1 0.3265 0.3265 0.8253
Mo2 0.6735 0.6735 0.1747
O1 0.1535 0.1535 0.7209
O2 0.1697 0.6916 0.7482
O3 0.2989 0.2989 0.1188
O4 0.3084 0.8303 0.2518
O5 0.6916 0.1697 0.7482
O6 0.7011 0.7011 0.8812
O7 0.8303 0.3084 0.2518
O8 0.8465 0.8465 0.2791



Theoretical powder XRD pattern of Na4MgNi5O10 for CuKα, from a cell relaxed with GGA+U.
Lines closer than 0.1° are merged.

Main lines, in order of rising 2θ (5° ≤ 2θ ≤ 70°):
| d (Å) | I_rel |
| --- | --- |
| 5.259 | 100.0 |
| 2.630 | 25.8 |
| 2.564 | 19.2 |
| 2.558 | 19.4 |
| 2.543 | 18.3 |
| 2.484 | 23.8 |
| 2.452 | 26.2 |
| 2.445 | 21.6 |
| 2.026 | 37.8 |
| 1.990 | 70.5 |
| 1.503 | 14.1 |
| 1.493 | 13.6 |

Structural model:
Lattice parameters (Å, degrees): 5.1855 5.5076 7.8764 101.46 108.55 98.39
Element x y z (fractional)
Na1 0.0000 0.0000 0.0000
Na2 0.1862 0.9979 0.3930
Na3 0.5926 0.0049 0.2002
Na4 0.7927 0.9985 0.5871
Mg1 0.4001 0.0070 0.7965
Ni1 0.0492 0.4891 0.2929
Ni2 0.2569 0.4929 0.6941
Ni3 0.4483 0.4854 0.0875
Ni4 0.6523 0.4950 0.4932
Ni5 0.8502 0.4837 0.8910
O1 0.0027 0.6895 0.7417
O2 0.1456 0.6728 0.1277
O3 0.1482 0.2681 0.8290
O4 0.3211 0.2956 0.2591
O5 0.3758 0.7201 0.5655
O6 0.5259 0.2939 0.6631
O7 0.5406 0.7038 0.9142
O8 0.7120 0.2633 0.0253
O9 0.7806 0.6877 0.3259
O10 0.9614 0.3051 0.4614